(1)
For NpAg2AsSe4, the PBE geometry in Alexandria gives the theoretical X-ray diffraction stick pattern in this record (Cu Kα).
Neutral-atom scattering factors, no anomalous dispersion.

a b c (Å): 8.0938 8.0938 8.0938
angles (deg): 121.68 117.89 90.41
Positions (direct):
Np1 0.0000 0.0000 0.0000
Np2 0.5000 0.0000 0.5000
Ag1 0.0000 0.5000 0.5000
Ag2 0.5000 0.0000 0.0000
Ag3 0.5000 0.5000 0.0000
Ag4 0.5000 0.5000 0.5000
As1 0.0000 0.0000 0.5000
As2 0.0000 0.5000 0.0000
Se1 0.2326 0.7472 0.4854
Se2 0.2382 0.2528 0.9854
Se3 0.2449 0.2454 0.5005
Se4 0.2449 0.7444 0.9995
Se5 0.7551 0.2556 0.0005
Se6 0.7551 0.7546 0.4995
Se7 0.7618 0.7472 0.0146
Se8 0.7674 0.2528 0.5146

Top 8 peaks for 2θ = 15–90°, most intense first:
31.20 deg, I 100
44.83 deg, I 73
31.37 deg, I 49
54.47 deg, I 20
43.34 deg, I 20
56.76 deg, I 18
46.03 deg, I 17
74.01 deg, I 16

(2)
For Ag3As2O8, the PBE geometry in Alexandria gives the theoretical X-ray diffraction stick pattern in this record (Cu Kα).
Neutral-atom scattering factors, no anomalous dispersion.

a b c (Å): 6.0041 6.0041 6.0041
angles (deg): 85.50 85.50 85.50
Positions (direct):
Ag1 0.0707 0.5999 0.3294
Ag2 0.3294 0.0707 0.5999
Ag3 0.5999 0.3294 0.0707
As1 0.0937 0.0937 0.0937
As2 0.5674 0.5674 0.5674
O1 0.2074 0.9283 0.3188
O2 0.3188 0.2074 0.9283
O3 0.3754 0.7215 0.7306
O4 0.4021 0.4021 0.4021
O5 0.7215 0.7306 0.3754
O6 0.7306 0.3754 0.7215
O7 0.9283 0.3188 0.2074
O8 0.9448 0.9448 0.9448

Top 8 peaks for 2θ = 15–90°, most intense first:
21.81 deg, I 100
32.55 deg, I 77
34.54 deg, I 72
37.34 deg, I 62
38.25 deg, I 35
54.09 deg, I 34
23.86 deg, I 31
57.48 deg, I 26